Record 1
This entry pairs a crystal structure of HgI2 with its theoretical XRD peak list. Radiation: Cu Ka. Structure: a structure optimized by DFT (PBE).
Neutral-atom scattering factors, no anomalous dispersion.

Crystal structure
Cell: 9.149 9.149 13.248 Å, 90.00 90.00 90.00°
Space group P4_2/nmc (No. 137, origin choice 2)
Inequivalent atoms, fractional coordinates:
Hg  0.002  0.750  0.127 [8 per cell]
I  0.008  0.508  0.750 [8 per cell]
I  0.250  0.250  0.002 [4 per cell]
I  0.250  0.750  0.505 [4 per cell]

Largest 10 diffraction maxima, by angle, 2θ from 10° to 90°:
| (hkl) | 2θ (°) | intensity |
| --- | --- | --- |
| 1 0 1 | 11.8 | 29.9 |
| 1 0 2 | 16.5 | 32.8 |
| 2 0 1 | 20.5 | 41.7 |
| 2 0 2 | 23.6 | 100.0 |
| 2 1 2 | 25.6 | 27.2 |
| 2 0 3 | 28.1 | 22.1 |
| 2 2 4 | 38.9 | 86.7 |
| 4 0 0 | 39.4 | 49.1 |
| 4 2 2 | 46.5 | 31.3 |
| 6 2 4 | 71.1 | 29.4 |

=====

Record 2
This entry pairs a crystal structure of HgI2 with its theoretical XRD peak list. Radiation: Cu Ka. Structure: a structure optimized by DFT (PBE).
Neutral-atom scattering factors, no anomalous dispersion.

Crystal structure
Cell: 13.261 13.261 25.865 Å, 90.00 90.00 90.00°
Space group I4_1/acd (No. 142, origin choice 2)
Inequivalent atoms, fractional coordinates:
Hg  0.118  0.125  0.313 [32 per cell]
I  0.000  0.250  0.004 [16 per cell]
I  0.006  0.003  0.625 [32 per cell]
I  0.245  0.000  0.250 [16 per cell]

Largest 10 diffraction maxima, by angle, 2θ from 10° to 90°:
| (hkl) | 2θ (°) | intensity |
| --- | --- | --- |
| 1 1 2 | 11.7 | 34.5 |
| 2 1 3 | 18.2 | 49.1 |
| 2 1 5 | 22.8 | 23.8 |
| 2 2 4 | 23.4 | 100.0 |
| 3 2 3 | 26.3 | 21.2 |
| 3 2 5 | 29.8 | 19.6 |
| 4 4 0 | 38.4 | 43.4 |
| 4 0 8 | 38.9 | 84.3 |
| 6 2 4 | 45.5 | 34.0 |
| 8 4 8 | 69.8 | 28.9 |

=====

Record 3
This entry pairs a crystal structure of HgI2 with its theoretical XRD peak list. Radiation: Cu Ka. Structure: a structure optimized by DFT (PBE).
Neutral-atom scattering factors, no anomalous dispersion.

Crystal structure
Cell: 4.521 4.521 13.870 Å, 90.00 90.00 90.00°
Space group P4_2/nmc (No. 137, origin choice 2)
Inequivalent atoms, fractional coordinates:
Hg  0.250  0.750  0.250 [2 per cell]
I  0.250  0.250  0.122 [4 per cell]

Largest 10 diffraction maxima, by angle, 2θ from 10° to 90°:
| (hkl) | 2θ (°) | intensity |
| --- | --- | --- |
| 0 0 2 | 12.8 | 55.2 |
| 1 0 1 | 20.7 | 83.0 |
| 1 0 2 | 23.5 | 100.0 |
| 1 0 3 | 27.6 | 41.7 |
| 1 1 2 | 30.8 | 34.3 |
| 1 1 4 | 38.3 | 89.5 |
| 2 0 0 | 39.9 | 40.1 |
| 2 1 1 | 45.3 | 22.4 |
| 2 1 2 | 46.8 | 30.7 |
| 3 1 4 | 71.4 | 28.9 |

=====

Record 4
This entry pairs a crystal structure of HgI3 with its theoretical XRD peak list. Radiation: Cu Ka. Structure: a structure optimized by DFT (PBE).
Neutral-atom scattering factors, no anomalous dispersion.

Crystal structure
Cell: 4.515 4.515 16.931 Å, 90.00 90.00 90.00°
Space group I4/mmm (No. 139)
Inequivalent atoms, fractional coordinates:
Hg  0.000  0.000  0.000 [2 per cell]
I  0.000  0.000  0.500 [2 per cell]
I  0.000  0.500  0.250 [4 per cell]

Largest 10 diffraction maxima, by angle, 2θ from 10° to 90°:
| (hkl) | 2θ (°) | intensity |
| --- | --- | --- |
| 0 0 4 | 21.0 | 60.2 |
| 1 1 2 | 29.9 | 100.0 |
| 2 0 0 | 39.9 | 22.9 |
| 1 1 6 | 42.8 | 47.1 |
| 2 0 4 | 45.5 | 31.4 |
| 2 0 8 | 59.9 | 13.8 |
| 2 2 4 | 62.1 | 24.8 |
| 3 1 2 | 66.4 | 20.4 |
| 3 1 6 | 74.5 | 22.1 |
| 4 0 4 | 89.9 | 14.5 |

=====

Record 5
This entry pairs a crystal structure of HgI2 with its theoretical XRD peak list. Radiation: Cu Ka. Structure: a structure optimized by DFT (PBE).
Neutral-atom scattering factors, no anomalous dispersion.

Crystal structure
Cell: 9.167 9.167 26.436 Å, 90.00 90.00 90.00°
Space group I4_1/amd (No. 141, origin choice 2)
Inequivalent atoms, fractional coordinates:
Hg  0.000  0.005  0.314 [16 per cell]
I  0.000  0.250  0.247 [8 per cell]
I  0.000  0.250  0.751 [8 per cell]
I  0.242  0.008  0.875 [16 per cell]

Largest 10 diffraction maxima, by angle, 2θ from 10° to 90°:
| (hkl) | 2θ (°) | intensity |
| --- | --- | --- |
| 1 0 3 | 13.9 | 37.3 |
| 2 0 2 | 20.5 | 41.5 |
| 2 0 4 | 23.6 | 100.0 |
| 2 1 3 | 23.9 | 25.3 |
| 2 1 5 | 27.5 | 22.6 |
| 2 2 8 | 38.9 | 86.4 |
| 4 0 0 | 39.3 | 54.0 |
| 4 2 4 | 46.4 | 31.4 |
| 4 4 0 | 56.8 | 23.3 |
| 6 2 8 | 71.0 | 29.9 |

=====

Record 6
This entry pairs a crystal structure of HgI2 with its theoretical XRD peak list. Radiation: Cu Ka. Structure: a structure optimized by DFT (PBE).
Neutral-atom scattering factors, no anomalous dispersion.

Crystal structure
Cell: 5.304 7.653 14.382 Å, 90.00 90.00 90.00°
Space group Cmc2_1 (No. 36)
Inequivalent atoms, fractional coordinates:
Hg  0.000  0.156  0.000 [4 per cell]
I  0.000  0.092  0.371 [4 per cell]
I  0.000  0.403  0.129 [4 per cell]

Largest 10 diffraction maxima, by angle, 2θ from 10° to 90°:
| (hkl) | 2θ (°) | intensity |
| --- | --- | --- |
| 0 0 2 | 12.3 | 66.9 |
| 1 1 1 | 21.3 | 89.5 |
| 1 1 2 | 23.9 | 100.0 |
| 1 1 3 | 27.7 | 43.1 |
| 0 2 3 | 29.9 | 66.3 |
| 2 0 0 | 33.8 | 37.3 |
| 0 0 6 | 37.5 | 30.2 |
| 0 2 5 | 39.2 | 34.8 |
| 2 2 3 | 45.7 | 41.3 |
| 2 2 5 | 52.7 | 22.3 |

=====

Record 7
This entry pairs a crystal structure of K2InHgI6 with its theoretical XRD peak list. Radiation: Cu Ka. Structure: a structure optimized by DFT (PBE).
Neutral-atom scattering factors, no anomalous dispersion.

Crystal structure
Cell: 12.130 12.130 12.130 Å, 90.00 90.00 90.00°
Space group Fm-3m (No. 225)
Inequivalent atoms, fractional coordinates:
K  0.250  0.250  0.250 [8 per cell]
In  0.000  0.000  0.000 [4 per cell]
Hg  0.000  0.000  0.500 [4 per cell]
I  0.000  0.000  0.246 [24 per cell]

Largest 10 diffraction maxima, by angle, 2θ from 10° to 90°:
| (hkl) | 2θ (°) | intensity |
| --- | --- | --- |
| 2 0 0 | 14.6 | 92.0 |
| 2 2 2 | 25.4 | 39.9 |
| 4 0 0 | 29.5 | 100.0 |
| 4 2 0 | 33.0 | 52.6 |
| 4 4 0 | 42.1 | 74.3 |
| 6 0 0 | 44.8 | 28.5 |
| 6 2 2 | 49.9 | 17.4 |
| 4 4 4 | 52.2 | 26.1 |
| 8 4 0 | 69.3 | 33.1 |
| 8 4 4 | 77.0 | 24.6 |

=====

Record 8
This entry pairs a crystal structure of Rb2InHgI6 with its theoretical XRD peak list. Radiation: Cu Ka. Structure: a structure optimized by DFT (PBE).
Neutral-atom scattering factors, no anomalous dispersion.

Crystal structure
Cell: 12.170 12.170 12.170 Å, 90.00 90.00 90.00°
Space group Fm-3m (No. 225)
Inequivalent atoms, fractional coordinates:
Rb  0.250  0.250  0.250 [8 per cell]
In  0.000  0.000  0.000 [4 per cell]
Hg  0.000  0.000  0.500 [4 per cell]
I  0.000  0.000  0.246 [24 per cell]

Largest 10 diffraction maxima, by angle, 2θ from 10° to 90°:
| (hkl) | 2θ (°) | intensity |
| --- | --- | --- |
| 2 0 0 | 14.6 | 52.6 |
| 2 2 0 | 20.6 | 17.3 |
| 2 2 2 | 25.4 | 47.1 |
| 4 0 0 | 29.4 | 100.0 |
| 4 2 0 | 32.9 | 29.7 |
| 4 4 0 | 42.0 | 74.7 |
| 6 2 2 | 49.7 | 21.2 |
| 4 4 4 | 52.1 | 26.3 |
| 8 4 0 | 69.0 | 33.7 |
| 8 4 4 | 76.7 | 25.1 |

=====

Record 9
This entry pairs a crystal structure of KHgI3O with its theoretical XRD peak list. Radiation: Cu Ka. Structure: a structure optimized by DFT (PBE).
Neutral-atom scattering factors, no anomalous dispersion.

Crystal structure
Cell: 8.454 8.734 13.092 Å, 90.00 90.00 90.00°
Space group Pna2_1 (No. 33)
Inequivalent atoms, fractional coordinates:
K  0.090  0.196  0.000 [4 per cell]
Hg  0.211  0.676  0.173 [4 per cell]
I  0.048  0.355  0.515 [4 per cell]
I  0.206  0.874  0.697 [4 per cell]
I  0.217  0.918  0.308 [4 per cell]
O  0.118  0.562  0.520 [4 per cell]

Largest 10 diffraction maxima, by angle, 2θ from 10° to 90°:
| (hkl) | 2θ (°) | intensity |
| --- | --- | --- |
| 0 1 1 | 12.2 | 38.7 |
| 0 0 2 | 13.5 | 29.5 |
| 2 0 0 | 21.0 | 17.0 |
| 1 2 1 | 23.9 | 20.5 |
| 2 0 2 | 25.1 | 100.0 |
| 2 1 2 | 27.1 | 20.0 |
| 1 3 1 | 33.3 | 19.5 |
| 1 3 3 | 38.7 | 21.9 |
| 0 0 6 | 41.4 | 14.1 |
| 3 2 3 | 43.5 | 14.0 |

=====

Record 10
This entry pairs a crystal structure of K2HgSbI6 with its theoretical XRD peak list. Radiation: Cu Ka. Structure: a structure optimized by DFT (PBE).
Neutral-atom scattering factors, no anomalous dispersion.

Crystal structure
Cell: 12.292 12.292 12.292 Å, 90.00 90.00 90.00°
Space group Fm-3m (No. 225)
Inequivalent atoms, fractional coordinates:
K  0.250  0.250  0.250 [8 per cell]
Hg  0.000  0.000  0.000 [4 per cell]
Sb  0.000  0.000  0.500 [4 per cell]
I  0.000  0.000  0.254 [24 per cell]

Largest 10 diffraction maxima, by angle, 2θ from 10° to 90°:
| (hkl) | 2θ (°) | intensity |
| --- | --- | --- |
| 2 0 0 | 14.4 | 92.5 |
| 2 2 2 | 25.1 | 39.0 |
| 4 0 0 | 29.1 | 100.0 |
| 4 2 0 | 32.6 | 53.1 |
| 4 4 0 | 41.6 | 74.7 |
| 6 0 0 | 44.2 | 28.9 |
| 6 2 2 | 49.2 | 17.1 |
| 4 4 4 | 51.5 | 26.3 |
| 8 4 0 | 68.2 | 33.5 |
| 8 4 4 | 75.8 | 24.9 |

=====

Record 11
This entry pairs a crystal structure of K2ScHgI6 with its theoretical XRD peak list. Radiation: Cu Ka. Structure: a structure optimized by DFT (PBE).
Neutral-atom scattering factors, no anomalous dispersion.

Crystal structure
Cell: 12.176 12.176 12.176 Å, 90.00 90.00 90.00°
Space group Fm-3m (No. 225)
Inequivalent atoms, fractional coordinates:
K  0.250  0.250  0.250 [8 per cell]
Sc  0.000  0.000  0.000 [4 per cell]
Hg  0.000  0.000  0.500 [4 per cell]
I  0.000  0.000  0.238 [24 per cell]

Largest 10 diffraction maxima, by angle, 2θ from 10° to 90°:
| (hkl) | 2θ (°) | intensity |
| --- | --- | --- |
| 2 0 0 | 14.5 | 78.8 |
| 2 2 2 | 25.3 | 58.2 |
| 4 0 0 | 29.3 | 100.0 |
| 4 2 0 | 32.9 | 42.6 |
| 4 4 0 | 42.0 | 72.8 |
| 6 0 0 | 44.7 | 22.9 |
| 6 2 2 | 49.7 | 24.1 |
| 4 4 4 | 52.0 | 25.0 |
| 8 4 0 | 69.0 | 30.6 |
| 8 4 4 | 76.7 | 22.3 |

=====

Record 12
This entry pairs a crystal structure of K2TlHgI6 with its theoretical XRD peak list. Radiation: Cu Ka. Structure: a structure optimized by DFT (PBE).
Neutral-atom scattering factors, no anomalous dispersion.

Crystal structure
Cell: 12.261 12.261 12.261 Å, 90.00 90.00 90.00°
Space group Fm-3m (No. 225)
Inequivalent atoms, fractional coordinates:
K  0.250  0.250  0.250 [8 per cell]
Tl  0.000  0.000  0.000 [4 per cell]
Hg  0.000  0.000  0.500 [4 per cell]
I  0.000  0.000  0.254 [24 per cell]

Largest 10 diffraction maxima, by angle, 2θ from 10° to 90°:
| (hkl) | 2θ (°) | intensity |
| --- | --- | --- |
| 2 0 0 | 14.4 | 100.0 |
| 2 2 2 | 25.2 | 23.0 |
| 4 0 0 | 29.1 | 92.3 |
| 4 2 0 | 32.7 | 57.8 |
| 4 4 0 | 41.7 | 69.2 |
| 6 0 0 | 44.3 | 31.6 |
| 4 4 4 | 51.6 | 24.4 |
| 6 4 4 | 62.5 | 18.6 |
| 8 4 0 | 68.4 | 31.2 |
| 8 4 4 | 76.1 | 23.2 |